No. 1
Simulated powder X-ray diffraction pattern
Compound: NaCr2S4
Radiation: copper Kα
Structure: a DFT-relaxed cell (PBE, the Materials Project)
Neutral-atom scattering factors, no anomalous dispersion.

a = 11.589 Å, b = 7.264 Å, c = 12.057 Å
α = 90.00°, β = 90.00°, γ = 90.00°
Space group Pca2_1 (No. 29)
Unique sites:
1 Na 0.086 0.116 0.000 [4 per cell]
2 Na 0.117 0.624 0.659 [4 per cell]
3 Cr 0.119 0.630 0.025 [4 per cell]
4 Cr 0.130 0.390 0.324 [4 per cell]
5 Cr 0.135 0.149 0.655 [4 per cell]
6 Cr 0.154 0.882 0.269 [4 per cell]
7 S 0.001 0.064 0.229 [4 per cell]
8 S 0.013 0.563 0.448 [4 per cell]
9 S 0.029 0.646 0.208 [4 per cell]
10 S 0.048 0.188 0.478 [4 per cell]
11 S 0.208 0.376 0.133 [4 per cell]
12 S 0.238 0.137 0.828 [4 per cell]
13 S 0.239 0.892 0.101 [4 per cell]
14 S 0.242 0.645 0.864 [4 per cell]

Largest 12 diffraction maxima, by angle, 2θ = 5–70°:
hkl  2θ/deg  intensity
1 1 1  16.2  49
2 0 1  17.0  28
0 1 2  19.1  26
2 0 3  27.0  55
1 2 2  29.7  23
2 0 4  33.5  58
3 2 1  34.7  100
3 2 2  37.1  85
1 2 5  45.8  31
5 2 2  49.0  34
0 4 0  50.2  25
6 0 3  52.6  46

=====

No. 2
Simulated powder X-ray diffraction pattern
Compound: NaCr5Se8
Radiation: copper Kα
Structure: a DFT-relaxed cell (PBE, the Materials Project)
Neutral-atom scattering factors, no anomalous dispersion.

a = 18.919 Å, b = 3.693 Å, c = 9.004 Å
α = 90.00°, β = 105.11°, γ = 90.00°
Space group C2/m (No. 12)
Unique sites:
1 Na 0.000 0.000 0.000 [2 per cell]
2 Cr 0.000 0.500 0.500 [2 per cell]
3 Cr 0.158 0.000 0.478 [4 per cell]
4 Cr 0.204 0.000 0.835 [4 per cell]
5 Se 0.074 0.000 0.659 [4 per cell]
6 Se 0.085 0.500 0.323 [4 per cell]
7 Se 0.169 0.500 0.991 [4 per cell]
8 Se 0.239 0.500 0.658 [4 per cell]

Largest 12 diffraction maxima, by angle, 2θ = 5–70°:
hkl  2θ/deg  intensity
2 0 0  9.7  33
0 0 1  10.2  52
2 0 -1  12.1  33
6 0 -2  31.2  43
3 1 1  31.4  100
3 1 -2  32.7  58
6 0 1  33.6  24
3 1 2  37.4  29
3 1 -3  39.3  30
3 1 3  45.2  21
0 2 0  49.4  30
9 1 -1  49.9  55

=====

No. 3
Simulated powder X-ray diffraction pattern
Compound: Na4Cr13Se23
Radiation: copper Kα
Structure: a DFT-relaxed cell (PBE, the Materials Project)
Neutral-atom scattering factors, no anomalous dispersion.

a = 25.915 Å, b = 3.684 Å, c = 18.881 Å
α = 90.00°, β = 94.58°, γ = 90.00°
Space group Cm (No. 8)
Unique sites:
1 Na 0.000 0.000 0.000 [2 per cell]
2 Na 0.000 0.000 0.328 [2 per cell]
3 Na 0.000 0.500 0.828 [2 per cell]
4 Na 0.003 0.000 0.656 [2 per cell]
5 Cr 0.132 0.500 0.171 [2 per cell]
6 Cr 0.133 0.500 0.506 [2 per cell]
7 Cr 0.138 0.000 0.348 [2 per cell]
8 Cr 0.139 0.000 0.010 [2 per cell]
9 Cr 0.139 0.000 0.679 [2 per cell]
10 Cr 0.140 0.500 0.843 [2 per cell]
11 Cr 0.249 0.500 0.189 [2 per cell]
12 Cr 0.254 0.500 0.519 [2 per cell]
13 Cr 0.355 0.000 0.704 [2 per cell]
14 Cr 0.360 0.500 0.866 [2 per cell]
15 Cr 0.361 0.000 0.031 [2 per cell]
16 Cr 0.361 0.000 0.372 [2 per cell]
17 Cr 0.366 0.500 0.206 [2 per cell]
18 Se 0.081 0.000 0.115 [2 per cell]
19 Se 0.081 0.000 0.448 [2 per cell]
20 Se 0.082 0.000 0.782 [2 per cell]
21 Se 0.083 0.500 0.614 [2 per cell]
22 Se 0.083 0.500 0.950 [2 per cell]
23 Se 0.086 0.500 0.283 [2 per cell]
24 Se 0.191 0.000 0.905 [2 per cell]
25 Se 0.191 0.500 0.738 [2 per cell]
26 Se 0.193 0.000 0.237 [2 per cell]
27 Se 0.193 0.500 0.071 [2 per cell]
28 Se 0.193 0.500 0.406 [2 per cell]
29 Se 0.194 0.000 0.571 [2 per cell]
30 Se 0.306 0.000 0.139 [2 per cell]
31 Se 0.306 0.000 0.476 [2 per cell]
32 Se 0.307 0.000 0.808 [2 per cell]
33 Se 0.307 0.500 0.306 [2 per cell]
34 Se 0.308 0.500 0.970 [2 per cell]
35 Se 0.310 0.500 0.640 [2 per cell]
36 Se 0.414 0.500 0.096 [2 per cell]
37 Se 0.415 0.500 0.425 [2 per cell]
38 Se 0.416 0.000 0.265 [2 per cell]
39 Se 0.417 0.000 0.929 [2 per cell]
40 Se 0.418 0.500 0.752 [2 per cell]

Largest 12 diffraction maxima, by angle, 2θ = 5–70°:
hkl  2θ/deg  intensity
2 0 0  6.8  96
4 0 0  13.7  62
3 1 3  30.4  42
5 1 -3  32.5  39
5 1 3  33.7  100
6 0 -6  34.0  48
7 1 3  38.1  25
9 1 -3  41.5  31
9 1 3  43.3  30
0 2 0  49.5  32
1 1 -9  50.0  63
13 1 -3  53.4  28

=====

No. 4
Simulated powder X-ray diffraction pattern
Compound: Na3Cr11Se20
Radiation: copper Kα
Structure: a DFT-relaxed cell (PBE, the Materials Project)
Neutral-atom scattering factors, no anomalous dispersion.

a = 25.660 Å, b = 3.681 Å, c = 19.468 Å
α = 90.00°, β = 125.99°, γ = 90.00°
Space group Cm (No. 8)
Unique sites:
1 Na 0.000 0.000 0.000 [2 per cell]
2 Na 0.099 0.500 0.204 [2 per cell]
3 Na 0.392 0.000 0.790 [2 per cell]
4 Cr 0.022 0.500 0.779 [2 per cell]
5 Cr 0.028 0.000 0.567 [2 per cell]
6 Cr 0.033 0.500 0.353 [2 per cell]
7 Cr 0.134 0.000 0.540 [2 per cell]
8 Cr 0.219 0.000 0.965 [2 per cell]
9 Cr 0.222 0.500 0.173 [2 per cell]
10 Cr 0.232 0.500 0.753 [2 per cell]
11 Cr 0.320 0.000 0.376 [2 per cell]
12 Cr 0.333 0.000 0.947 [2 per cell]
13 Cr 0.418 0.500 0.584 [2 per cell]
14 Cr 0.433 0.500 0.157 [2 per cell]
15 Se 0.003 0.000 0.848 [2 per cell]
16 Se 0.013 0.000 0.424 [2 per cell]
17 Se 0.041 0.000 0.706 [2 per cell]
18 Se 0.050 0.000 0.278 [2 per cell]
19 Se 0.111 0.500 0.057 [2 per cell]
20 Se 0.112 0.500 0.623 [2 per cell]
21 Se 0.142 0.500 0.914 [2 per cell]
22 Se 0.151 0.500 0.473 [2 per cell]
23 Se 0.207 0.000 0.252 [2 per cell]
24 Se 0.215 0.000 0.828 [2 per cell]
25 Se 0.246 0.000 0.110 [2 per cell]
26 Se 0.246 0.000 0.676 [2 per cell]
27 Se 0.307 0.500 0.455 [2 per cell]
28 Se 0.312 0.500 0.022 [2 per cell]
29 Se 0.338 0.500 0.304 [2 per cell]
30 Se 0.350 0.500 0.874 [2 per cell]
31 Se 0.404 0.000 0.654 [2 per cell]
32 Se 0.413 0.000 0.225 [2 per cell]
33 Se 0.442 0.000 0.506 [2 per cell]
34 Se 0.449 0.000 0.078 [2 per cell]

Largest 12 diffraction maxima, by angle, 2θ = 5–70°:
hkl  2θ/deg  intensity
2 0 -1  6.9  54
4 0 -2  13.9  40
4 0 3  30.5  38
5 1 0  32.5  30
4 0 -7  32.8  15
6 0 2  33.9  100
7 1 -6  38.3  25
9 1 -2  41.7  20
9 1 -7  43.6  28
0 2 0  49.5  22
1 1 7  49.8  42
13 1 -4  53.7  17

=====

No. 5
Simulated powder X-ray diffraction pattern
Compound: Na2Cr3Se6
Radiation: copper Kα
Structure: a DFT-relaxed cell (PBE, the Materials Project)
Neutral-atom scattering factors, no anomalous dispersion.

a = 6.340 Å, b = 10.983 Å, c = 7.412 Å
α = 90.00°, β = 106.61°, γ = 90.00°
Space group C2/m (No. 12)
Unique sites:
1 Na 0.000 0.167 0.000 [4 per cell]
2 Cr 0.000 0.000 0.500 [2 per cell]
3 Cr 0.000 0.333 0.500 [4 per cell]
4 Se 0.232 0.500 0.699 [4 per cell]
5 Se 0.233 0.166 0.698 [8 per cell]

Largest 12 diffraction maxima, by angle, 2θ = 5–70°:
hkl  2θ/deg  intensity
0 0 1  12.5  60
0 0 2  25.1  5
2 0 0  29.4  21
1 3 1  32.9  100
2 0 -3  41.1  25
2 0 2  44.4  27
0 6 0  49.8  34
0 0 4  51.5  8
2 0 3  55.6  16
4 0 0  61.0  16
3 3 -4  64.3  6
2 6 2  68.9  7

=====

No. 6
Simulated powder X-ray diffraction pattern
Compound: Nb3Cr
Radiation: copper Kα
Structure: a DFT-relaxed cell (PBE, the Materials Project)
Neutral-atom scattering factors, no anomalous dispersion.

a = 3.793 Å, b = 3.793 Å, c = 9.541 Å
α = 90.00°, β = 90.00°, γ = 90.00°
Space group I4/mmm (No. 139)
Unique sites:
1 Nb 0.000 0.000 0.000 [2 per cell]
2 Nb 0.000 0.500 0.250 [4 per cell]
3 Cr 0.000 0.000 0.500 [2 per cell]

Largest 12 diffraction maxima, by angle, 2θ = 5–70°:
hkl  2θ/deg  intensity
0 0 2  18.6  2
1 0 1  25.3  5
1 1 0  33.4  1
1 0 3  36.9  2
0 0 4  37.7  27
1 1 2  38.5  100
2 0 0  48.0  26
1 1 4  51.3  1
2 1 1  55.0  1
2 1 3  62.0  1
2 0 4  62.6  23
1 1 6  68.6  17